Theoretical powder X-ray diffraction pattern
Compound: GeBiI
Radiation: Cu Kα X-rays
Structure: a GGA-PBE-relaxed structure
Neutral-atom scattering factors, no anomalous dispersion.

Cell and atoms:
Unit cell a=8.0815 b=8.0815 c=8.0815 alpha=55.93 beta=55.93 gamma=55.93
Atoms (fractional coordinates):
Ge: 0.9996 0.3578 0.6426
Ge: 0.3578 0.6426 0.9996
Ge: 0.6426 0.9996 0.3578
Bi: 0.0568 0.0568 0.0568
Bi: 0.2634 0.2634 0.2634
Bi: 0.5959 0.5959 0.5959
I: 0.1081 0.6657 0.5552
I: 0.5552 0.1081 0.6657
I: 0.6657 0.5552 0.1081

Peak list (10 most intense, 2θ from 15° to 90°, in order of rising 2θ)
d/Å	2θ (°)	I (rel.)
4.025	22.1	55
3.790	23.5	39
3.463	25.7	43
3.310	26.9	100
3.240	27.5	44
3.124	28.6	70
2.759	32.4	41
2.530	35.5	77
2.188	41.3	48
1.944	46.7	70

***

Theoretical powder X-ray diffraction pattern
Compound: Li3Hg8
Radiation: Cu Kα X-rays
Structure: a GGA-PBE-relaxed structure
Neutral-atom scattering factors, no anomalous dispersion.

Cell and atoms:
Unit cell a=6.4804 b=6.4804 c=6.4804 alpha=90.00 beta=90.00 gamma=90.00
Atoms (fractional coordinates):
Li: 0.0000 0.0000 0.5000
Li: 0.0000 0.5000 0.0000
Li: 0.5000 0.0000 0.0000
Hg: 0.2581 0.2581 0.2581
Hg: 0.2581 0.2581 0.7419
Hg: 0.2581 0.7419 0.2581
Hg: 0.2581 0.7419 0.7419
Hg: 0.7419 0.2581 0.2581
Hg: 0.7419 0.2581 0.7419
Hg: 0.7419 0.7419 0.2581
Hg: 0.7419 0.7419 0.7419

Peak list (10 most intense, 2θ from 15° to 90°, in order of rising 2θ)
d/Å	2θ (°)	I (rel.)
3.240	27.5	100
2.291	39.3	82
1.871	48.7	28
1.797	50.8	2
1.620	56.8	14
1.572	58.7	1
1.449	64.3	37
1.323	71.3	28
1.203	79.7	2
1.146	84.6	9

***

What did the second record say?
Theoretical powder X-ray diffraction pattern
Compound: Li3Hg8
Radiation: Cu Kα X-rays
Structure: a GGA-PBE-relaxed structure
Neutral-atom scattering factors, no anomalous dispersion.

Cell and atoms:
Unit cell a=6.4804 b=6.4804 c=6.4804 alpha=90.00 beta=90.00 gamma=90.00
Atoms (fractional coordinates):
Li: 0.0000 0.0000 0.5000
Li: 0.0000 0.5000 0.0000
Li: 0.5000 0.0000 0.0000
Hg: 0.2581 0.2581 0.2581
Hg: 0.2581 0.2581 0.7419
Hg: 0.2581 0.7419 0.2581
Hg: 0.2581 0.7419 0.7419
Hg: 0.7419 0.2581 0.2581
Hg: 0.7419 0.2581 0.7419
Hg: 0.7419 0.7419 0.2581
Hg: 0.7419 0.7419 0.7419

Peak list (10 most intense, 2θ from 15° to 90°, in order of rising 2θ)
d/Å	2θ (°)	I (rel.)
3.240	27.5	100
2.291	39.3	82
1.871	48.7	28
1.797	50.8	2
1.620	56.8	14
1.572	58.7	1
1.449	64.3	37
1.323	71.3	28
1.203	79.7	2
1.146	84.6	9